Theoretical X-ray powder pattern of Li3ZrPd7 for Cu Ka, from a cell relaxed with PBE.
Intensities are scaled so that the largest is 100.

Cell and atoms:
Cell: 8.5017 8.0807 5.1931 Å, 90.00 94.93 90.00°
Space group C2/m (No. 12)
Symmetry-distinct sites (fractional):
Li 0.0000 0.0000 0.0000 x2
Li 0.0000 0.1883 0.5000 x4
Zr 0.0000 0.5000 0.0000 x2
Pd 0.0000 0.5000 0.5000 x2
Pd 0.2252 0.0000 0.7156 x4
Pd 0.2486 0.3306 0.7684 x8

Principal peaks in the range 2θ = 5–70°, by angle:
| two_theta | Rel. int. |
| --- | --- |
| 15.2 | 62 |
| 21.0 | 100 |
| 38.8 | 86 |
| 38.9 | 29 |
| 39.2 | 80 |
| 39.6 | 93 |
| 42.5 | 56 |
| 42.7 | 58 |
| 49.0 | 51 |
| 51.0 | 33 |

***

Theoretical X-ray powder pattern of Ba3Au2 for Cu Ka, from a cell relaxed with PBE.
Intensities are scaled so that the largest is 100.

Cell and atoms:
Cell: 10.2199 10.2199 19.5698 Å, 90.00 90.00 120.00°
Space group R-3 (No. 148, hexagonal axes)
Symmetry-distinct sites (fractional):
Ba 0.0000 0.0000 0.0000 x3
Ba 0.0000 0.0000 0.1992 x6
Ba 0.0086 0.2633 0.5922 x18
Au 0.0225 0.6153 0.5705 x18

Principal peaks in the range 2θ = 5–70°, by angle:
| two_theta | Rel. int. |
| --- | --- |
| 11.0 | 33 |
| 17.4 | 25 |
| 27.0 | 29 |
| 27.3 | 44 |
| 28.2 | 100 |
| 30.3 | 80 |
| 32.4 | 70 |
| 32.6 | 84 |
| 37.8 | 22 |
| 55.8 | 22 |

***

Theoretical X-ray powder pattern of La5Dy2HoTh for Cu Ka, from a cell relaxed with PBE.
Intensities are scaled so that the largest is 100.

Cell and atoms:
Cell: 5.5064 21.7331 10.6945 Å, 90.00 90.00 90.00°
Space group Cmcm (No. 63)
Symmetry-distinct sites (fractional):
La 0.0000 0.0000 0.0000 x4
La 0.0000 0.1281 0.2500 x4
La 0.0000 0.2233 0.5579 x8
La 0.0000 0.4991 0.7500 x4
Dy 0.0000 0.3884 0.0064 x8
Ho 0.0000 0.1024 0.7500 x4
Th 0.0000 0.2888 0.2500 x4

Principal peaks in the range 2θ = 5–70°, by angle:
| two_theta | Rel. int. |
| --- | --- |
| 26.3 | 13 |
| 30.1 | 14 |
| 31.1 | 100 |
| 32.4 | 15 |
| 32.5 | 31 |
| 33.5 | 19 |
| 47.4 | 15 |
| 57.1 | 19 |
| 58.4 | 12 |
| 60.4 | 10 |

***

Theoretical X-ray powder pattern of Ce2DySi2Ni2 for Cu Ka, from a cell relaxed with PBE.
Intensities are scaled so that the largest is 100.

Cell and atoms:
Cell: 4.1076 4.1076 26.8928 Å, 90.00 90.00 120.00°
Space group R-3m (No. 166, hexagonal axes)
Symmetry-distinct sites (fractional):
Ce 0.0000 0.0000 0.1365 x6
Dy 0.0000 0.0000 0.0000 x3
Si 0.0000 0.0000 0.2629 x6
Ni 0.0000 0.0000 0.4040 x6

Principal peaks in the range 2θ = 5–70°, by angle:
| two_theta | Rel. int. |
| --- | --- |
| 25.3 | 43 |
| 28.4 | 14 |
| 30.1 | 12 |
| 34.4 | 100 |
| 36.8 | 63 |
| 44.1 | 72 |
| 50.9 | 14 |
| 57.1 | 23 |
| 58.7 | 16 |
| 69.6 | 33 |